(1)
This entry pairs a crystal structure of LiInC2N4 with its simulated powder X-ray diffraction pattern. Radiation: Cu Kα X-rays. Structure: a crystal structure in the Materials Project, relaxed with GGA-PBE.

Atomic structure:
abc: 9.569 6.955 5.985
angles: 90.00 90.00 90.00
Space group Pbcn (No. 60)
Unique sites:
Li1 0.000 0.114 0.250 (multiplicity 4)
In1 0.000 0.371 0.750 (multiplicity 4)
C1 0.245 0.117 0.580 (multiplicity 8)
N1 0.118 0.129 0.590 (multiplicity 8)
N2 0.126 0.398 0.068 (multiplicity 8)

Top 10 peaks for 10 to 80 degrees two-theta, low angle first:
| two_theta | Rel. int. | h k l |
| --- | --- | --- |
| 15.75 | 86.8 | 1 1 0 |
| 18.55 | 49.3 | 2 0 0 |
| 21.68 | 100.0 | 1 1 1 |
| 29.71 | 22.4 | 0 2 1 |
| 33.93 | 23.5 | 1 1 2 |
| 34.37 | 26.9 | 3 1 1 |
| 35.26 | 68.3 | 2 2 1 |
| 35.38 | 34.7 | 2 0 2 |
| 48.62 | 35.3 | 4 2 1 |
| 52.91 | 20.1 | 0 2 3 |

(2)
This entry pairs a crystal structure of KNaThF6 with its simulated powder X-ray diffraction pattern. Radiation: Cu Kα X-rays. Structure: a crystal structure in the Materials Project, relaxed with GGA-PBE.

Atomic structure:
abc: 6.3814 6.3814 7.9766
angles: 90.00 90.00 120.00
Space group P-3 (No. 147)
Unique sites:
K1 0.3333 0.6667 0.1087 (multiplicity 2)
Na1 0.0000 0.0000 0.2655 (multiplicity 2)
Th1 0.3333 0.6667 0.6213 (multiplicity 2)
F1 0.0759 0.3893 0.4029 (multiplicity 6)
F2 0.1073 0.3834 0.8213 (multiplicity 6)

Top 10 peaks for 10 to 80 degrees two-theta, low angle first:
| two_theta | Rel. int. | h k l |
| --- | --- | --- |
| 11.09 | 75.3 | 0 0 1 |
| 16.04 | 57.9 | 1 0 0 |
| 19.54 | 100.0 | 1 0 1 |
| 27.58 | 97.8 | 1 0 2 |
| 27.96 | 68.8 | 1 1 0 |
| 30.17 | 28.0 | 2 -1 1 |
| 39.68 | 68.8 | 0 2 2 |
| 44.86 | 22.4 | 2 1 1 |
| 49.24 | 59.2 | 2 1 2 |
| 49.48 | 26.1 | 3 0 0 |

(3)
This entry pairs a crystal structure of HfCr2 with its simulated powder X-ray diffraction pattern. Radiation: Cu Kα X-rays. Structure: a crystal structure in the Materials Project, relaxed with GGA-PBE.

Atomic structure:
abc: 5.0388 5.0388 8.0951
angles: 90.00 90.00 120.00
Space group P6_3/mmc (No. 194)
Unique sites:
Hf1 0.3333 0.6667 0.0603 (multiplicity 4)
Cr1 0.0000 0.0000 0.0000 (multiplicity 2)
Cr2 0.1688 0.3377 0.7500 (multiplicity 6)

Top 10 peaks for 10 to 80 degrees two-theta, low angle first:
| two_theta | Rel. int. | h k l |
| --- | --- | --- |
| 20.35 | 22.1 | 1 0 0 |
| 30.11 | 18.2 | 1 0 2 |
| 35.64 | 75.9 | 1 1 0 |
| 39.26 | 99.0 | 1 0 3 |
| 42.25 | 100.0 | 1 1 2 |
| 42.93 | 45.6 | 2 0 1 |
| 66.43 | 40.5 | 2 1 3 |
| 68.55 | 22.9 | 3 0 2 |
| 72.73 | 26.6 | 2 0 5 |
| 75.47 | 20.6 | 2 2 0 |

(4)
This entry pairs a crystal structure of MgTa3 with its simulated powder X-ray diffraction pattern. Radiation: Cu Kα X-rays. Structure: a crystal structure in the Materials Project, relaxed with GGA-PBE.

Atomic structure:
abc: 6.669 6.669 6.669
angles: 90.00 90.00 90.00
Space group Fm-3m (No. 225)
Unique sites:
Mg1 0.000 0.000 0.000 (multiplicity 4)
Ta1 0.000 0.000 0.500 (multiplicity 4)
Ta2 0.250 0.250 0.250 (multiplicity 8)

Top 10 peaks for 10 to 80 degrees two-theta, low angle first:
| two_theta | Rel. int. | h k l |
| --- | --- | --- |
| 23.10 | 17.7 | 1 1 1 |
| 26.73 | 9.3 | 2 0 0 |
| 38.17 | 100.0 | 2 2 0 |
| 45.09 | 9.4 | 3 1 1 |
| 47.21 | 2.7 | 2 2 2 |
| 55.08 | 17.5 | 4 0 0 |
| 60.51 | 4.0 | 3 3 1 |
| 62.26 | 3.6 | 4 2 0 |
| 68.99 | 35.6 | 4 2 2 |
| 73.83 | 3.0 | 5 1 1 |

(5)
This entry pairs a crystal structure of Cr7Se8 with its simulated powder X-ray diffraction pattern. Radiation: Cu Kα X-rays. Structure: a crystal structure in the Materials Project, relaxed with GGA-PBE.

Atomic structure:
abc: 12.093 7.521 8.797
angles: 90.00 132.58 90.00
Space group C2/m (No. 12)
Unique sites:
Cr1 0.000 0.000 0.000 (multiplicity 2)
Cr2 0.000 0.269 0.500 (multiplicity 4)
Cr3 0.233 0.500 0.989 (multiplicity 4)
Cr4 0.250 0.250 0.500 (multiplicity 4)
Se1 0.036 0.000 0.332 (multiplicity 4)
Se2 0.049 0.500 0.336 (multiplicity 4)
Se3 0.215 0.244 0.169 (multiplicity 8)

Top 10 peaks for 10 to 80 degrees two-theta, low angle first:
| two_theta | Rel. int. | h k l |
| --- | --- | --- |
| 31.13 | 100.0 | 2 0 1 |
| 31.33 | 79.8 | 2 2 -2 |
| 31.53 | 28.3 | 2 0 -3 |
| 40.57 | 73.9 | 4 0 0 |
| 40.91 | 54.8 | 4 2 -3 |
| 41.14 | 23.1 | 4 0 -4 |
| 48.41 | 32.0 | 0 4 0 |
| 48.62 | 64.2 | 0 2 3 |
| 53.30 | 17.9 | 6 2 -2 |
| 64.92 | 17.3 | 4 4 0 |

(6)
This entry pairs a crystal structure of Rb2LiNb2Te2O12 with its simulated powder X-ray diffraction pattern. Radiation: Cu Kα X-rays. Structure: a crystal structure in the Materials Project, relaxed with GGA-PBE.

Atomic structure:
abc: 12.818 7.419 7.552
angles: 90.00 124.71 90.00
Space group C2/m (No. 12)
Unique sites:
Rb1 0.168 0.000 0.002 (multiplicity 4)
Li1 0.000 0.000 0.500 (multiplicity 2)
Nb1 0.000 0.500 0.000 (multiplicity 2)
Nb2 0.000 0.500 0.500 (multiplicity 2)
Te1 0.250 0.250 0.500 (multiplicity 4)
O1 0.061 0.500 0.808 (multiplicity 4)
O2 0.123 0.297 0.567 (multiplicity 8)
O3 0.126 0.306 0.190 (multiplicity 8)
O4 0.176 0.000 0.425 (multiplicity 4)

Top 10 peaks for 10 to 80 degrees two-theta, low angle first:
| two_theta | Rel. int. | h k l |
| --- | --- | --- |
| 14.60 | 46.8 | 2 0 -1 |
| 28.05 | 100.0 | 0 2 1 |
| 28.22 | 37.6 | 2 2 -1 |
| 28.76 | 37.3 | 0 0 2 |
| 29.45 | 36.7 | 4 0 -2 |
| 44.79 | 13.3 | 6 0 -3 |
| 44.82 | 13.1 | 3 3 0 |
| 49.19 | 32.8 | 0 4 0 |
| 50.48 | 13.7 | 0 2 3 |
| 57.91 | 20.9 | 6 2 -4 |